Entry 1:
Computed powder diffractogram
Compound: Na2Hg3S4O2
Radiation: Cu Kα X-rays
Structure: a structure optimized by DFT (PBE)

Structure:
abc: 7.6356 9.0821 13.8826
angles: 90.00 90.00 90.00
Space group Ibam (No. 72)
Asymmetric unit:
Na  0.0180  0.2402  0.0000 x8
Hg  0.0000  0.1738  0.2500 x8
Hg  0.0000  0.5000  0.2500 x4
S  0.2460  0.4523  0.1048 x16
O  0.2196  0.4401  0.5000 x8

The 10 most intense peaks (10 to 90 degrees two-theta), in order of falling intensity:
index  two_theta  I (rel.)
0 0 2  12.8  100
2 0 2  26.6  66
1 3 2  34.4  61
2 0 4  34.9  46
1 3 0  31.8  41
1 3 4  41.3  40
0 0 4  25.7  30
2 0 0  23.3  26
3 3 2  48.5  25
1 3 6  51.1  20

=====

Entry 2:
Computed powder diffractogram
Compound: RbFe2Pd
Radiation: Cu Kα X-rays
Structure: a structure optimized by DFT (PBE)

Structure:
abc: 4.9582 4.9582 17.4902
angles: 90.00 90.00 90.00
Space group I4_1/amd (No. 141, origin choice 2)
Asymmetric unit:
Rb  0.0000  0.2500  0.3750 x4
Fe  0.0000  0.0000  0.0000 x8
Pd  0.0000  0.2500  0.8750 x4

The 10 most intense peaks (10 to 90 degrees two-theta), in order of falling intensity:
index  two_theta  I (rel.)
1 1 2  27.4  100
1 0 1  18.6  39
1 1 6  40.2  35
2 2 4  56.6  32
2 0 4  41.9  31
2 0 0  36.2  24
3 1 2  59.9  21
0 0 8  41.3  21
2 0 2  37.7  15
3 1 6  67.9  15

=====

Entry 3:
Computed powder diffractogram
Compound: Nd2Cd5Ag5
Radiation: Cu Kα X-rays
Structure: a structure optimized by DFT (PBE)

Structure:
abc: 4.7832 5.7443 9.8827
angles: 90.00 90.00 90.00
Space group Pmmm (No. 47)
Asymmetric unit:
Nd  0.0000  0.0000  0.0000 x1
Nd  0.0000  0.5000  0.5000 x1
Cd  0.5000  0.0000  0.5000 x1
Cd  0.5000  0.2499  0.2451 x4
Ag  0.0000  0.0000  0.3341 x2
Ag  0.0000  0.5000  0.1638 x2
Ag  0.5000  0.5000  0.0000 x1

The 10 most intense peaks (10 to 90 degrees two-theta), in order of falling intensity:
index  two_theta  I (rel.)
1 1 3  36.6  100
1 2 0  36.5  51
2 0 0  37.6  51
1 0 2  25.9  34
0 2 2  36.2  32
1 2 2  41.0  29
3 2 0  67.2  24
1 3 3  59.0  24
2 2 6  77.9  22
0 1 3  31.3  21

=====

Entry 4:
Computed powder diffractogram
Compound: H2Au3I8
Radiation: Cu Kα X-rays
Structure: a structure optimized by DFT (PBE)

Structure:
abc: 13.1703 10.9396 15.7309
angles: 90.00 92.66 90.00
Space group C2/c (No. 15)
Asymmetric unit:
H  0.2415  0.2266  0.1595 x8
Au  0.0000  0.1496  0.7500 x4
Au  0.1483  0.3002  0.4197 x8
I  0.0496  0.4823  0.3498 x8
I  0.0902  0.1649  0.8979 x8
I  0.1408  0.1449  0.1827 x8
I  0.2142  0.0829  0.4660 x8

The 10 most intense peaks (10 to 90 degrees two-theta), in order of falling intensity:
index  two_theta  I (rel.)
2 0 -2  17.2  100
2 2 -1  21.7  55
1 3 0  25.3  47
3 1 -1  22.3  44
5 3 -2  43.6  35
1 1 -3  19.7  33
2 0 -4  25.9  26
4 2 3  36.8  24
1 1 1  12.1  23
2 2 4  31.6  23

=====

Entry 5:
Computed powder diffractogram
Compound: Hf2Be16Cu
Radiation: Cu Kα X-rays
Structure: a structure optimized by DFT (PBE)

Structure:
abc: 7.5329 7.5329 10.9843
angles: 90.00 90.00 120.00
Space group R3m (No. 160, hexagonal axes)
Asymmetric unit:
Hf  0.0000  0.0000  0.0000 x3
Hf  0.0000  0.0000  0.3190 x3
Be  0.0000  0.0000  0.5554 x3
Be  0.0001  0.2888  0.6586 x18
Be  0.0013  0.5007  0.8160 x9
Be  0.0029  0.5014  0.1581 x9
Be  0.1684  0.3367  0.8343 x9
Cu  0.0000  0.0000  0.7549 x3

The 10 most intense peaks (10 to 90 degrees two-theta), in order of falling intensity:
index  two_theta  I (rel.)
1 1 0  23.6  100
1 1 3  34.2  59
3 0 0  41.5  29
0 3 3  48.7  28
1 0 1  15.8  25
2 2 0  48.3  21
0 0 3  24.3  21
1 0 4  35.5  18
2 1 4  49.7  15
4 1 3  71.0  15

=====

Entry 6:
Computed powder diffractogram
Compound: AcNb2Ge2N
Radiation: Cu Kα X-rays
Structure: a structure optimized by DFT (PBE)

Structure:
abc: 4.3298 4.3298 6.0119
angles: 90.00 90.00 90.00
Space group P4/mmm (No. 123)
Asymmetric unit:
Ac  0.0000  0.0000  0.0000 x1
Nb  0.0000  0.5000  0.5000 x2
Ge  0.5000  0.5000  0.2132 x2
N  0.0000  0.0000  0.5000 x1

The 10 most intense peaks (10 to 90 degrees two-theta), in order of falling intensity:
index  two_theta  I (rel.)
1 1 1  32.8  100
1 0 2  36.4  55
2 0 0  41.7  46
2 1 2  56.5  31
1 0 1  25.4  30
3 1 1  70.5  22
1 0 3  50.2  15
2 2 0  60.5  15
0 0 2  29.7  15
1 1 0  29.2  13

=====

Entry 7:
Computed powder diffractogram
Compound: HfBi2S6
Radiation: Cu Kα X-rays
Structure: a structure optimized by DFT (PBE)

Structure:
abc: 6.2695 6.2695 12.2088
angles: 90.00 90.00 90.00
Space group P4_2/mnm (No. 136)
Asymmetric unit:
Hf  0.0000  0.0000  0.0000 x2
Bi  0.0000  0.0000  0.3333 x4
S  0.1882  0.1882  0.1536 x8
S  0.2103  0.2103  0.5000 x4

The 10 most intense peaks (10 to 90 degrees two-theta), in order of falling intensity:
index  two_theta  I (rel.)
1 1 0  20.0  100
2 1 3  39.0  81
1 0 3  26.1  76
3 0 3  49.0  29
2 2 0  40.7  22
2 0 0  28.5  21
1 1 6  49.3  19
3 1 0  45.8  18
4 1 3  65.5  15
3 2 3  57.6  15